YCdIn: simulated powder XRD pattern (Cu Kα, 1.54184 Å), based on a structure optimized by DFT (GGA-PBE).
Kinematic intensities with the Lorentz-polarization factor, no thermal factor.

Crystal structure
Cell lengths 4.904, 7.201, 8.557 Å; angles 90.00, 90.00, 90.00 degrees
Space group Imm2 (No. 44)
Symmetry-distinct sites (fractional):
Y  0.000  0.000  0.000 x2
Y  0.000  0.500  0.001 x2
Cd  0.000  0.226  0.668 x4
In  0.000  0.234  0.333 x4

Largest 6 diffraction maxima, in order of rising 2θ, 2θ = 10–90°:
2θ = 24.73°, I = 14.5, hkl 0 2 0; 2θ = 32.55°, I = 100.0, hkl 0 2 2; 2θ = 36.44°, I = 61.8, hkl 1 0 3; 2θ = 36.65°, I = 30.4, hkl 2 0 0; 2θ = 49.78°, I = 19.7, hkl 2 2 2; 2θ = 64.04°, I = 18.5, hkl 1 4 3